For Ac2PaZnPd6, a DFT-relaxed cell (GGA-PBE, Alexandria) gives the simulated powder XRD pattern in this record (copper Kα).
No peak broadening, texture or thermal motion is included.

Structural model:
abc: 8.972 8.972 8.972
angles: 38.00 38.00 38.00
Sites, in units of the cell vectors:
Ac: 0.211 0.211 0.211
Ac: 0.789 0.789 0.789
Pa: 0.000 0.000 0.000
Zn: 0.500 0.500 0.500
Pd: 0.253 0.253 0.745
Pd: 0.253 0.745 0.253
Pd: 0.255 0.747 0.747
Pd: 0.745 0.253 0.253
Pd: 0.747 0.255 0.747
Pd: 0.747 0.747 0.255

Main lines, by angle (2θ = 15–90°):
25.07 deg, I 70.7
30.62 deg, I 43.6
36.23 deg, I 45.3
37.63 deg, I 33.1
38.40 deg, I 100.0
40.31 deg, I 45.2

For SmEr7Tm12, a DFT-relaxed cell (GGA-PBE, Alexandria) gives the simulated powder XRD pattern in this record (copper Kα).
No peak broadening, texture or thermal motion is included.

Structural model:
abc: 8.565 8.565 8.565
angles: 95.21 95.21 95.21
Sites, in units of the cell vectors:
Sm: 0.000 0.000 0.000
Er: 0.015 0.081 0.351
Er: 0.081 0.351 0.015
Er: 0.351 0.015 0.081
Er: 0.500 0.500 0.500
Er: 0.649 0.985 0.919
Er: 0.919 0.649 0.985
Er: 0.985 0.919 0.649
Tm: 0.146 0.414 0.476
Tm: 0.191 0.749 0.319
Tm: 0.251 0.681 0.809
Tm: 0.319 0.191 0.749
Tm: 0.414 0.476 0.146
Tm: 0.476 0.146 0.414
Tm: 0.524 0.854 0.586
Tm: 0.586 0.524 0.854
Tm: 0.681 0.809 0.251
Tm: 0.749 0.319 0.191
Tm: 0.809 0.251 0.681
Tm: 0.854 0.586 0.524

Main lines, by angle (2θ = 15–90°):
27.81 deg, I 20.5
30.16 deg, I 64.5
31.26 deg, I 42.6
32.34 deg, I 100.0
40.03 deg, I 31.6
42.89 deg, I 33.9

For K2Zn2O3, a DFT-relaxed cell (GGA-PBE, Alexandria) gives the simulated powder XRD pattern in this record (copper Kα).
No peak broadening, texture or thermal motion is included.

Structural model:
abc: 11.496 3.446 6.745
angles: 90.00 123.45 90.00
Sites, in units of the cell vectors:
K: 0.068 0.000 0.348
K: 0.432 0.500 0.652
K: 0.568 0.500 0.348
K: 0.932 0.000 0.652
Zn: 0.188 0.500 0.075
Zn: 0.312 0.000 0.925
Zn: 0.688 0.000 0.075
Zn: 0.812 0.500 0.925
O: 0.000 0.500 0.000
O: 0.202 0.500 0.774
O: 0.298 0.000 0.226
O: 0.500 0.000 0.000
O: 0.702 0.000 0.774
O: 0.798 0.500 0.226

Main lines, by angle (2θ = 15–90°):
15.75 deg, I 100.0
29.11 deg, I 54.0
30.43 deg, I 68.4
35.02 deg, I 69.5
38.24 deg, I 78.4
38.41 deg, I 55.7

For Rb2PbI3Br, a DFT-relaxed cell (GGA-PBE, Alexandria) gives the simulated powder XRD pattern in this record (copper Kα).
No peak broadening, texture or thermal motion is included.

Structural model:
abc: 5.958 6.315 18.854
angles: 90.00 90.00 90.00
Sites, in units of the cell vectors:
Rb: 0.000 0.000 0.137
Rb: 0.000 0.000 0.863
Rb: 0.500 0.500 0.363
Rb: 0.500 0.500 0.637
Pb: 0.000 0.000 0.500
Pb: 0.500 0.500 0.000
I: 0.000 0.000 0.329
I: 0.000 0.000 0.671
I: 0.000 0.500 0.500
I: 0.500 0.000 0.000
I: 0.500 0.500 0.171
I: 0.500 0.500 0.829
Br: 0.000 0.500 0.000
Br: 0.500 0.000 0.500

Main lines, by angle (2θ = 15–90°):
15.60 deg, I 59.9
20.50 deg, I 100.0
27.99 deg, I 88.4
28.26 deg, I 81.7
28.40 deg, I 62.2
29.99 deg, I 70.0

For SiI4, a DFT-relaxed cell (GGA-PBE, Alexandria) gives the simulated powder XRD pattern in this record (copper Kα).
No peak broadening, texture or thermal motion is included.

Structural model:
abc: 12.919 12.919 12.919
angles: 90.00 90.00 90.00
Sites, in units of the cell vectors:
Si: 0.134 0.134 0.134
Si: 0.134 0.366 0.634
Si: 0.366 0.634 0.134
Si: 0.366 0.866 0.634
Si: 0.634 0.134 0.366
Si: 0.634 0.366 0.866
Si: 0.866 0.634 0.366
Si: 0.866 0.866 0.866
I: 0.011 0.243 0.038
I: 0.011 0.257 0.538
I: 0.038 0.011 0.243
I: 0.038 0.489 0.743
I: 0.243 0.038 0.011
I: 0.243 0.462 0.511
I: 0.244 0.244 0.244
I: 0.244 0.256 0.744
I: 0.256 0.744 0.244
I: 0.256 0.756 0.744
I: 0.257 0.538 0.011
I: 0.257 0.962 0.511
I: 0.462 0.511 0.243
I: 0.462 0.989 0.743
I: 0.489 0.743 0.038
I: 0.489 0.757 0.538
I: 0.511 0.243 0.462
I: 0.511 0.257 0.962
I: 0.538 0.011 0.257
I: 0.538 0.489 0.757
I: 0.743 0.038 0.489
I: 0.743 0.462 0.989
I: 0.744 0.244 0.256
I: 0.744 0.256 0.756
I: 0.756 0.744 0.256
I: 0.756 0.756 0.756
I: 0.757 0.538 0.489
I: 0.757 0.962 0.989
I: 0.962 0.511 0.257
I: 0.962 0.989 0.757
I: 0.989 0.743 0.462
I: 0.989 0.757 0.962

Main lines, by angle (2θ = 15–90°):
16.81 deg, I 18.5
23.86 deg, I 100.0
27.62 deg, I 42.6
35.43 deg, I 11.5
39.46 deg, I 31.9
46.63 deg, I 28.1

For Na4Tl5Zn, a DFT-relaxed cell (GGA-PBE, Alexandria) gives the simulated powder XRD pattern in this record (copper Kα).
No peak broadening, texture or thermal motion is included.

Structural model:
abc: 3.768 3.768 19.071
angles: 90.00 90.00 90.00
Sites, in units of the cell vectors:
Na: 0.000 0.000 0.102
Na: 0.000 0.000 0.308
Na: 0.000 0.000 0.692
Na: 0.000 0.000 0.898
Tl: 0.500 0.500 0.000
Tl: 0.500 0.500 0.203
Tl: 0.500 0.500 0.413
Tl: 0.500 0.500 0.587
Tl: 0.500 0.500 0.797
Zn: 0.000 0.000 0.500

Main lines, by angle (2θ = 15–90°):
23.32 deg, I 30.2
23.61 deg, I 63.3
33.43 deg, I 100.0
33.63 deg, I 52.3
41.33 deg, I 28.0
60.01 deg, I 37.5